No. 1
PmDy2Mg9: calculated powder diffraction line list (Cu Kα), based on a crystal structure in Alexandria, relaxed with PBE.
Peak positions follow from Bragg's law for the DFT cell and can differ from measured ones.

Principal peaks in the range 15 to 90 degrees two-theta, sorted by position:
17.2 deg, I = 709; 18.2 deg, I = 258; 27.3 deg, I = 807; 29.6 deg, I = 772; 29.8 deg, I = 413; 34.4 deg, I = 388; 34.9 deg, I = 1000; 51.1 deg, I = 296; 56.0 deg, I = 244; 61.3 deg, I = 191

```
data_PmDy2Mg9
_symmetry_space_group_name_H-M 'R -3 m'
_symmetry_Int_Tables_number 166
_symmetry_space_group_name_Hall '-R 3 2"'
_cell_length_a 6.0448
_cell_length_b 6.0448
_cell_length_c 29.2863
_cell_angle_alpha 90.00
_cell_angle_beta 90.00
_cell_angle_gamma 120.00
loop_
_atom_site_label
_atom_site_fract_x
_atom_site_fract_y
_atom_site_fract_z
Pm1 0.0000 0.0000 0.0000
Dy1 0.0000 0.0000 0.1437
Mg1 0.0000 0.0000 0.3341
Mg2 0.0000 0.0000 0.5000
Mg3 0.0049 0.5024 0.9155
```


No. 2
Pm3Dy4Mg: calculated powder diffraction line list (Cu Kα), based on a crystal structure in Alexandria, relaxed with PBE.
Peak positions follow from Bragg's law for the DFT cell and can differ from measured ones.

Principal peaks in the range 15 to 90 degrees two-theta, sorted by position:
30.0 deg, I = 447; 30.5 deg, I = 676; 30.8 deg, I = 600; 32.2 deg, I = 1000; 33.1 deg, I = 251; 36.6 deg, I = 292; 37.3 deg, I = 258; 45.8 deg, I = 227; 55.7 deg, I = 209; 62.3 deg, I = 302

```
data_Pm3Dy4Mg
_symmetry_space_group_name_H-M 'I m m m'
_symmetry_Int_Tables_number 71
_symmetry_space_group_name_Hall '-I 2 2'
_cell_length_a 3.531
_cell_length_b 11.613
_cell_length_c 12.656
_cell_angle_alpha 90.00
_cell_angle_beta 90.00
_cell_angle_gamma 90.00
loop_
_atom_site_label
_atom_site_fract_x
_atom_site_fract_y
_atom_site_fract_z
Pm1 0.000 0.000 0.000
Pm2 0.000 0.500 0.234
Dy1 0.000 0.245 0.366
Mg1 0.000 0.000 0.500
```


No. 3
Pm5Dy6Mg2: calculated powder diffraction line list (Cu Kα), based on a crystal structure in Alexandria, relaxed with PBE.
Peak positions follow from Bragg's law for the DFT cell and can differ from measured ones.

Principal peaks in the range 15 to 90 degrees two-theta, sorted by position:
27.6 deg, I = 457; 28.2 deg, I = 1000; 29.7 deg, I = 813; 31.8 deg, I = 903; 32.4 deg, I = 823; 32.6 deg, I = 969; 34.4 deg, I = 514; 36.2 deg, I = 451; 51.2 deg, I = 477; 59.5 deg, I = 478

```
data_Pm5Dy6Mg2
_symmetry_space_group_name_H-M 'P b a m'
_symmetry_Int_Tables_number 55
_cell_length_a 10.487
_cell_length_b 22.527
_cell_length_c 3.564
_cell_angle_alpha 90.00
_cell_angle_beta 90.00
_cell_angle_gamma 90.00
loop_
_symmetry_equiv_pos_as_xyz
'x,y,z'
'-x,-y,-z'
'-x,-y,z'
'x,y,-z'
'x+1/2,-y+1/2,-z'
'-x+1/2,y+1/2,z'
'-x+1/2,y+1/2,-z'
'x+1/2,-y+1/2,z'
loop_
_atom_site_label
_atom_site_fract_x
_atom_site_fract_y
_atom_site_fract_z
Pm1 0.000 0.000 0.000
Pm2 0.081 0.251 0.000
Pm3 0.167 0.506 0.000
Dy1 0.019 0.387 0.500
Dy2 0.144 0.118 0.500
Dy3 0.168 0.866 0.000
Mg1 0.169 0.739 0.500
```


No. 4
PmDyMg5: calculated powder diffraction line list (Cu Kα), based on a crystal structure in Alexandria, relaxed with PBE.
Peak positions follow from Bragg's law for the DFT cell and can differ from measured ones.

Principal peaks in the range 15 to 90 degrees two-theta, sorted by position:
18.2 deg, I = 480; 19.0 deg, I = 1000; 25.5 deg, I = 698; 32.3 deg, I = 503; 33.6 deg, I = 347; 34.0 deg, I = 638; 35.2 deg, I = 551; 37.0 deg, I = 221; 41.7 deg, I = 192; 50.8 deg, I = 174

```
data_PmDyMg5
_symmetry_space_group_name_H-M 'C 1 2/m 1'
_symmetry_Int_Tables_number 12
_cell_length_a 6.365
_cell_length_b 9.725
_cell_length_c 6.665
_cell_angle_alpha 90.00
_cell_angle_beta 109.87
_cell_angle_gamma 90.00
loop_
_symmetry_equiv_pos_as_xyz
'x,y,z'
'-x,-y,-z'
'-x,y,-z'
'x,-y,z'
'x+1/2,y+1/2,z'
'-x+1/2,-y+1/2,-z'
'-x+1/2,y+1/2,-z'
'x+1/2,-y+1/2,z'
loop_
_atom_site_label
_atom_site_fract_x
_atom_site_fract_y
_atom_site_fract_z
Pm1 0.000 0.000 0.000
Dy1 0.000 0.500 0.500
Mg1 0.000 0.000 0.500
Mg2 0.204 0.288 0.227
```